MgNi3H2: simulated powder X-ray diffraction pattern (Cu Kα X-rays), based on a crystal structure in OQMD, relaxed with GGA-PBE.
Lines closer than 0.1° are merged.

Peak list (10 most intense, 5 to 70 degrees two-theta, sorted by position)
23.89°, I = 16.6, hkl 1 0 1
34.03°, I = 12.2, hkl 1 1 0
36.83°, I = 0.6, hkl 1 1 1
39.46°, I = 0.9, hkl 2 0 0
41.98°, I = 100.0, hkl 0 2 1
42.09°, I = 33.7, hkl 0 0 3
48.90°, I = 65.0, hkl 2 0 2
55.12°, I = 6.5, hkl 2 1 1
60.88°, I = 3.5, hkl 1 2 2
61.02°, I = 1.0, hkl 1 0 4

a = 5.2733 Å, b = 5.2733 Å, c = 6.4409 Å
α = 90.00°, β = 90.00°, γ = 120.00°
Space group P3_121 (No. 152)
One atom of each set of equivalent atoms:
Mg: 0.0000 0.3708 0.1667
Ni: 0.0000 0.8491 0.1667
Ni: 0.1593 0.6675 0.5055
H: 0.0000 0.3368 0.6667
H: 0.0000 0.8297 0.6667